BeZnAs: simulated powder X-ray diffraction pattern (a wavelength of 1.5418 Å), based on a PBE-relaxed structure.
Neutral-atom scattering factors, no anomalous dispersion.

Cell and atoms:
a b c (Å): 10.0363 5.9471 4.8066
angles (deg): 90.00 90.00 90.00
Space group Pmn2_1 (No. 31)
Inequivalent atoms, fractional coordinates:
1 Be 0.0000 0.0600 0.0000 x2
2 Be 0.1988 0.5493 0.1428 x4
3 Zn 0.0000 0.5288 0.5070 x2
4 Zn 0.1238 0.1305 0.4685 x4
5 As 0.0000 0.6853 0.9901 x2
6 As 0.2168 0.1997 0.9582 x4

Top 10 peaks for 10 to 80 degrees two-theta, sorted by position:
| d/Å | two_theta | intensity | hkl |
| --- | --- | --- | --- |
| 3.835 | 23.19 | 42 | 2 1 0 |
| 2.998 | 29.80 | 100 | 2 1 1 |
| 2.916 | 30.66 | 72 | 3 1 0 |
| 2.851 | 31.38 | 53 | 1 2 0 |
| 2.452 | 36.65 | 28 | 1 2 1 |
| 2.403 | 37.42 | 71 | 0 0 2 |
| 1.854 | 49.15 | 60 | 5 0 1 |
| 1.838 | 49.61 | 26 | 1 2 2 |
| 1.803 | 50.63 | 22 | 1 3 1 |
| 1.781 | 51.29 | 34 | 4 2 1 |


LiAl2CdTe4: simulated powder X-ray diffraction pattern (a wavelength of 1.5418 Å), based on a PBE-relaxed structure.
Neutral-atom scattering factors, no anomalous dispersion.

Cell and atoms:
a b c (Å): 8.6855 9.7001 12.2698
angles (deg): 90.00 90.00 90.00
Space group Fmm2 (No. 42)
Inequivalent atoms, fractional coordinates:
1 Li 0.0000 0.0000 0.0000 x4
2 Al 0.2500 0.2500 0.2452 x8
3 Cd 0.0000 0.0000 0.5029 x4
4 Te 0.0000 0.2465 0.8806 x8
5 Te 0.2410 0.0000 0.1459 x8

Top 10 peaks for 10 to 80 degrees two-theta, sorted by position:
| d/Å | two_theta | intensity | hkl |
| --- | --- | --- | --- |
| 5.724 | 15.48 | 19 | 1 1 1 |
| 3.805 | 23.38 | 98 | 0 2 2 |
| 3.545 | 25.12 | 100 | 2 0 2 |
| 3.235 | 27.57 | 27 | 2 2 0 |
| 2.425 | 37.07 | 27 | 0 4 0 |
| 2.226 | 40.53 | 79 | 2 2 4 |
| 2.171 | 41.59 | 19 | 4 0 0 |
| 2.001 | 45.31 | 40 | 2 4 2 |
| 1.885 | 48.27 | 45 | 0 2 6 |
| 1.358 | 69.15 | 16 | 2 6 4 |


Pm2NdDy2Er: simulated powder X-ray diffraction pattern (a wavelength of 1.5418 Å), based on a PBE-relaxed structure.
Neutral-atom scattering factors, no anomalous dispersion.

Cell and atoms:
a b c (Å): 6.1231 18.3913 3.5617
angles (deg): 90.00 90.00 90.00
Space group Pnnm (No. 58)
Inequivalent atoms, fractional coordinates:
1 Pm 0.1631 0.1566 0.0000 x4
2 Nd 0.0000 0.5000 0.5000 x2
3 Dy 0.1624 0.3435 0.0000 x4
4 Er 0.0000 0.0000 0.5000 x2

Top 10 peaks for 10 to 80 degrees two-theta, sorted by position:
| d/Å | two_theta | intensity | hkl |
| --- | --- | --- | --- |
| 3.065 | 29.13 | 100 | 0 6 0 |
| 3.036 | 29.42 | 96 | 1 1 1 |
| 3.020 | 29.58 | 51 | 2 1 0 |
| 2.919 | 30.62 | 85 | 1 2 1 |
| 2.905 | 30.78 | 39 | 2 2 0 |
| 2.558 | 35.08 | 90 | 1 4 1 |
| 2.548 | 35.22 | 40 | 2 4 0 |
| 2.361 | 38.12 | 66 | 1 5 1 |
| 1.771 | 51.61 | 45 | 3 0 1 |
| 1.533 | 60.36 | 74 | 3 6 1 |